Structure and calculated XRD peak list of Zr2In2Cu3Pd (a cell relaxed with PBE; λ = 1.5418 Å (Cu Kα)).
No peak broadening, texture or thermal motion is included.

Cell and atoms:
Lattice parameters (Å, degrees): 4.576 4.576 6.484 90.00 90.00 90.00
Fractional coordinates of all 8 atoms:
Zr 0.000 0.500 0.246
Zr 0.500 0.000 0.754
In 0.000 0.500 0.754
In 0.500 0.000 0.246
Cu 0.000 0.000 0.000
Cu 0.500 0.500 0.000
Cu 0.500 0.500 0.500
Pd 0.000 0.000 0.500

Top 10 peaks for 15 to 90 degrees two-theta, sorted by position:
2θ/deg, I (rel.)
23.80, 1.7
27.55, 2.6
39.36, 100.0
46.51, 0.9
48.71, 0.7
56.79, 5.4
56.92, 10.9
71.36, 32.1
84.64, 6.7
84.74, 3.4



Structure and calculated XRD peak list of PrSm2In3Cu3 (a cell relaxed with PBE; λ = 1.5418 Å (Cu Kα)).
No peak broadening, texture or thermal motion is included.

Cell and atoms:
Lattice parameters (Å, degrees): 4.040 7.579 7.579 119.92 90.00 90.00
Fractional coordinates of all 9 atoms:
Pr 0.000 0.000 0.000
Sm 0.000 0.414 0.827
Sm 0.000 0.827 0.414
In 0.500 0.165 0.417
In 0.500 0.417 0.165
In 0.500 0.662 0.662
Cu 0.000 0.415 0.415
Cu 0.500 0.082 0.745
Cu 0.500 0.745 0.082

Top 10 peaks for 15 to 90 degrees two-theta, sorted by position:
2θ/deg, I (rel.)
32.39, 100.0
35.22, 81.6
36.19, 56.5
41.25, 21.4
42.76, 14.3
44.87, 23.5
50.09, 12.9
55.33, 23.3
58.96, 26.8
66.21, 24.9



Structure and calculated XRD peak list of Tb2PrIn3Cu3 (a cell relaxed with PBE; λ = 1.5418 Å (Cu Kα)).
No peak broadening, texture or thermal motion is included.

Cell and atoms:
Lattice parameters (Å, degrees): 3.944 7.558 7.558 119.87 90.00 90.00
Fractional coordinates of all 9 atoms:
Tb 0.000 0.205 0.795
Tb 0.000 0.795 0.205
Pr 0.000 0.383 0.383
In 0.500 0.045 0.045
In 0.500 0.543 0.800
In 0.500 0.800 0.543
Cu 0.000 0.797 0.797
Cu 0.500 0.125 0.465
Cu 0.500 0.465 0.125

Top 10 peaks for 15 to 90 degrees two-theta, sorted by position:
2θ/deg, I (rel.)
32.81, 100.0
35.63, 76.0
36.29, 53.3
41.35, 23.4
43.15, 12.9
46.03, 21.5
55.68, 14.6
59.98, 24.2
63.58, 12.5
66.64, 17.0



Structure and calculated XRD peak list of InCu3PtS4 (a cell relaxed with PBE; λ = 1.5418 Å (Cu Kα)).
No peak broadening, texture or thermal motion is included.

Cell and atoms:
Lattice parameters (Å, degrees): 5.633 5.633 5.633 90.00 90.00 90.00
Fractional coordinates of all 9 atoms:
In 0.000 0.000 0.000
Cu 0.000 0.500 0.500
Cu 0.500 0.000 0.500
Cu 0.500 0.500 0.000
Pt 0.500 0.500 0.500
S 0.256 0.256 0.256
S 0.256 0.744 0.744
S 0.744 0.256 0.744
S 0.744 0.744 0.256

Top 10 peaks for 15 to 90 degrees two-theta, sorted by position:
2θ/deg, I (rel.)
15.73, 39.4
22.32, 91.3
27.42, 24.4
31.77, 48.9
35.64, 18.8
39.17, 43.1
45.55, 100.0
51.29, 20.0
61.60, 23.5
84.21, 32.0



Structure and calculated XRD peak list of Rb2In4Cu4S9 (a cell relaxed with PBE; λ = 1.5418 Å (Cu Kα)).
No peak broadening, texture or thermal motion is included.

Cell and atoms:
Lattice parameters (Å, degrees): 7.184 7.184 16.065 107.68 107.68 31.47
Fractional coordinates of all 19 atoms:
Rb 0.029 0.029 0.274
Rb 0.971 0.971 0.726
In 0.232 0.232 0.102
In 0.349 0.349 0.455
In 0.651 0.651 0.545
In 0.768 0.768 0.898
Cu 0.249 0.249 0.732
Cu 0.448 0.448 0.053
Cu 0.552 0.552 0.947
Cu 0.751 0.751 0.268
S 0.000 0.000 0.500
S 0.140 0.140 0.932
S 0.287 0.287 0.599
S 0.337 0.337 0.272
S 0.384 0.384 0.875
S 0.616 0.616 0.125
S 0.663 0.663 0.728
S 0.713 0.713 0.401
S 0.860 0.860 0.068

Top 10 peaks for 15 to 90 degrees two-theta, sorted by position:
2θ/deg, I (rel.)
25.95, 70.5
27.52, 64.1
28.35, 49.5
29.29, 51.5
30.50, 58.9
32.08, 47.7
32.52, 89.1
35.30, 48.6
46.60, 100.0
54.09, 41.2



Structure and calculated XRD peak list of InCuS2 (a cell relaxed with PBE; λ = 1.5418 Å (Cu Kα)).
No peak broadening, texture or thermal motion is included.

Cell and atoms:
Lattice parameters (Å, degrees): 7.042 6.865 7.138 90.00 102.45 90.00
Fractional coordinates of all 16 atoms:
In 0.145 0.161 0.412
In 0.145 0.339 0.912
In 0.855 0.661 0.088
In 0.855 0.839 0.588
Cu 0.408 0.638 0.387
Cu 0.408 0.862 0.887
Cu 0.592 0.138 0.113
Cu 0.592 0.362 0.613
S 0.119 0.710 0.883
S 0.119 0.790 0.383
S 0.396 0.171 0.765
S 0.396 0.329 0.265
S 0.604 0.671 0.735
S 0.604 0.829 0.235
S 0.881 0.210 0.617
S 0.881 0.290 0.117

Top 10 peaks for 15 to 90 degrees two-theta, sorted by position:
2θ/deg, I (rel.)
20.63, 57.4
23.87, 49.4
25.96, 51.4
29.03, 69.5
29.41, 66.6
30.66, 52.6
31.17, 100.0
42.79, 47.6
47.24, 47.8
47.98, 48.6